Structure and computed X-ray powder pattern of NaHgWO4 (a structure optimized by DFT (GGA+U); Cu Kα (weighted mean of Kα1 and Kα2)).
Kinematic intensities with the Lorentz-polarization factor, no thermal factor.

Structure:
a = 11.990 Å, b = 6.559 Å, c = 7.424 Å
α = 90.00°, β = 100.39°, γ = 90.00°
Space group C2/m (No. 12)
Inequivalent atoms, fractional coordinates:
Na 0.211 0.000 0.354 [4 per cell]
Hg 0.106 0.500 0.990 [4 per cell]
W 0.129 0.000 0.764 [4 per cell]
O 0.020 0.000 0.230 [4 per cell]
O 0.166 0.221 0.644 [8 per cell]
O 0.215 0.000 0.005 [4 per cell]

Top 10 peaks for 2θ = 5–70°, low angle first:
2theta, I/Imax, index
12.12, 820, 0 0 1
18.82, 1000, 1 1 -1
21.00, 426, 2 0 1
27.19, 562, 0 2 0
27.80, 644, 1 1 -2
29.87, 309, 0 2 1
30.15, 381, 1 1 2
30.32, 290, 4 0 0
40.42, 283, 5 1 -1
41.56, 254, 1 1 3